Record 1
# Ho4SbSe2S
Computed X-ray diffraction stick pattern, Cu Kα X-rays. Input: a crystal structure in Alexandria, relaxed with PBE.

Structure:
Cell: 8.1761 8.2371 11.6182 Å, 90.00 90.00 90.00°
Space group Imma (No. 74)
Unique sites:
Ho: 0.0000 0.0178 0.2446
Ho: 0.2384 0.2500 0.0102
Sb: 0.0000 0.0000 0.5000
Se: 0.0000 0.0000 0.0000
Se: 0.2500 0.2500 0.7500
S: 0.2500 0.2500 0.2500

Main lines, most intense first (10 to 90 degrees two-theta):
30.81°, d = 2.902 Å, rel. 100, (2 2 0)
44.12°, d = 2.053 Å, rel. 48, (2 2 4)
72.86°, d = 1.298 Å, rel. 20, (4 4 4)
54.93°, d = 1.672 Å, rel. 13, (4 0 4)
54.63°, d = 1.680 Å, rel. 12, (0 4 4)
44.32°, d = 2.044 Å, rel. 12, (4 0 0)
43.97°, d = 2.059 Å, rel. 12, (0 4 0)
26.66°, d = 3.343 Å, rel. 11, (2 0 2)
64.18°, d = 1.451 Å, rel. 11, (4 4 0)
26.53°, d = 3.360 Å, rel. 11, (0 2 2)

***

Record 2
# Ho6Sb2Te3S
Computed X-ray diffraction stick pattern, Cu Kα X-rays. Input: a crystal structure in Alexandria, relaxed with PBE.

Structure:
Cell: 18.8123 4.2509 8.5992 Å, 90.00 103.93 90.00°
Space group C2/m (No. 12)
Unique sites:
Ho: 0.0000 0.0000 0.2126
Ho: 0.1473 0.5000 0.0769
Ho: 0.1664 0.5000 0.5764
Sb: 0.1662 0.0000 0.3303
Te: 0.0000 0.5000 0.5000
Te: 0.1713 0.0000 0.8372
S: 0.0000 0.5000 0.0000

Main lines, most intense first (10 to 90 degrees two-theta):
29.55°, d = 3.023 Å, rel. 100, (1 1 -2)
29.35°, d = 3.043 Å, rel. 48, (6 0 0)
41.94°, d = 2.154 Å, rel. 36, (7 1 -2)
42.33°, d = 2.135 Å, rel. 34, (5 1 2)
52.49°, d = 1.743 Å, rel. 27, (6 2 0)
42.53°, d = 2.125 Å, rel. 19, (0 2 0)
42.03°, d = 2.150 Å, rel. 17, (2 0 -4)
69.17°, d = 1.358 Å, rel. 13, (8 2 -4)
61.34°, d = 1.511 Å, rel. 11, (2 2 -4)
69.90°, d = 1.346 Å, rel. 9, (1 3 -2)

***

Record 3
# HoSc4S6
Computed X-ray diffraction stick pattern, Cu Kα X-rays. Input: a crystal structure in Alexandria, relaxed with PBE.

Structure:
Cell: 3.6757 12.1356 18.9824 Å, 90.00 90.00 90.00°
Space group Cmcm (No. 63)
Unique sites:
Ho: 0.0000 0.1520 0.2500
Sc: 0.0000 0.0933 0.6249
Sc: 0.0000 0.3600 0.5391
S: 0.0000 0.0000 0.0000
S: 0.0000 0.1842 0.7500
S: 0.0000 0.2692 0.0872
S: 0.0000 0.4529 0.6631

Main lines, most intense first (10 to 90 degrees two-theta):
34.29°, d = 2.615 Å, rel. 100, (1 3 2)
27.72°, d = 3.218 Å, rel. 45, (0 2 5)
15.33°, d = 5.780 Å, rel. 44, (0 2 1)
35.93°, d = 2.499 Å, rel. 38, (1 3 3)
20.28°, d = 4.380 Å, rel. 36, (0 2 3)
48.93°, d = 1.862 Å, rel. 33, (0 6 4)
31.90°, d = 2.805 Å, rel. 31, (0 2 6)
46.15°, d = 1.967 Å, rel. 27, (1 1 8)
49.60°, d = 1.838 Å, rel. 23, (2 0 0)
51.12°, d = 1.787 Å, rel. 23, (0 6 5)